# Ga2H6Br
Theoretical XRD peak list, Cu Ka. Input: a structure optimized by DFT (GGA-PBE).
Neutral-atom scattering factors, no anomalous dispersion.

Principal peaks in the range 2θ = 10–90°, in order of rising 2θ:
d (Å)	2θ/deg	I_rel
4.162	21.35	252
3.605	24.70	77
2.549	35.21	1000
2.174	41.54	151
1.802	50.65	173
1.654	55.56	68
1.472	63.18	337
1.274	74.44	104
1.219	78.49	48
1.140	85.11	149

Cell and atoms:
Cell lengths 5.0978, 5.0978, 5.0978 Å; angles 60.00, 60.00, 60.00 degrees
Fractional coordinates of all 9 atoms:
Ga: 0.2500 0.2500 0.2500
Ga: 0.7500 0.7500 0.7500
H: 0.1322 0.1322 0.8678
H: 0.1322 0.8678 0.1322
H: 0.1322 0.8678 0.8678
H: 0.8678 0.1322 0.1322
H: 0.8678 0.1322 0.8678
H: 0.8678 0.8678 0.1322
Br: 0.5000 0.5000 0.5000


# GaH3Br
Theoretical XRD peak list, Cu Ka. Input: a structure optimized by DFT (GGA-PBE).
Neutral-atom scattering factors, no anomalous dispersion.

Principal peaks in the range 2θ = 10–90°, in order of rising 2θ:
d (Å)	2θ/deg	I_rel
4.094	21.71	104
3.360	26.53	1000
2.581	34.76	364
2.047	44.25	170
1.940	46.84	206
1.748	52.34	214
1.680	54.63	133
1.667	55.09	118
1.408	66.40	102
1.270	74.76	101

Cell and atoms:
Cell lengths 5.4586, 5.4586, 5.4586 Å; angles 75.98, 75.98, 75.98 degrees
Fractional coordinates of all 10 atoms:
Ga: 0.1374 0.1374 0.1374
Ga: 0.8626 0.8626 0.8626
H: 0.1675 0.7685 0.7685
H: 0.2315 0.2315 0.8325
H: 0.2315 0.8325 0.2315
H: 0.7685 0.1675 0.7685
H: 0.7685 0.7685 0.1675
H: 0.8325 0.2315 0.2315
Br: 0.3462 0.3462 0.3462
Br: 0.6538 0.6538 0.6538


# Pr8Ga3HBr4
Theoretical XRD peak list, Cu Ka. Input: a structure optimized by DFT (GGA-PBE).
Neutral-atom scattering factors, no anomalous dispersion.

Principal peaks in the range 2θ = 10–90°, in order of rising 2θ:
d (Å)	2θ/deg	I_rel
3.477	25.62	166
3.050	29.29	1000
2.199	41.04	354
2.118	42.70	245
2.112	42.81	122
1.833	49.73	85
1.737	52.70	126
1.525	60.74	109
1.386	67.59	88
1.344	69.99	105

Cell and atoms:
Cell lengths 8.4706, 8.4706, 8.8180 Å; angles 118.78, 118.78, 59.83 degrees
Fractional coordinates of all 16 atoms:
Pr: 0.2335 0.7509 0.7178
Pr: 0.2362 0.2362 0.7210
Pr: 0.2491 0.7665 0.2822
Pr: 0.2562 0.2562 0.2679
Pr: 0.7438 0.7438 0.7321
Pr: 0.7509 0.2335 0.7178
Pr: 0.7638 0.7638 0.2790
Pr: 0.7665 0.2491 0.2822
Ga: 0.0000 0.5000 0.5000
Ga: 0.5000 0.0000 0.5000
Ga: 0.5000 0.5000 0.5000
H: 0.0000 0.0000 0.5000
Br: 0.0000 0.0000 0.0000
Br: 0.0000 0.5000 0.0000
Br: 0.5000 0.0000 0.0000
Br: 0.5000 0.5000 0.0000